# 1
This entry pairs a crystal structure of Pr8Tl3 with its computed powder diffraction line list. Radiation: CuKα. Structure: the PBE geometry in Alexandria.
Peak positions follow from Bragg's law for the DFT cell and can differ from measured ones.

Crystal structure
Cell lengths 7.4298, 7.4298, 7.4298 Å; angles 89.72, 89.72, 89.72 degrees
Sites, in units of the cell vectors:
Pr (0.1400, 0.1400, 0.1400)
Pr (0.1820, 0.3616, 0.6207)
Pr (0.3616, 0.6207, 0.1820)
Pr (0.3793, 0.8180, 0.6384)
Pr (0.6207, 0.1820, 0.3616)
Pr (0.6384, 0.3793, 0.8180)
Pr (0.8180, 0.6384, 0.3793)
Pr (0.8600, 0.8600, 0.8600)
Tl (0.0000, 0.0000, 0.5000)
Tl (0.0000, 0.5000, 0.0000)
Tl (0.5000, 0.0000, 0.0000)

Main lines, low angle first (15° ≤ 2θ ≤ 90°):
2θ 20.74, d 4.283, intensity 15; 2θ 26.78, d 3.329, intensity 22; 2θ 26.88, d 3.316, intensity 100; 2θ 29.33, d 3.045, intensity 40; 2θ 29.47, d 3.031, intensity 41; 2θ 34.05, d 2.633, intensity 15; 2θ 40.13, d 2.247, intensity 24; 2θ 40.30, d 2.238, intensity 69; 2θ 45.71, d 1.985, intensity 20; 2θ 55.18, d 1.665, intensity 17

# 2
This entry pairs a crystal structure of Sr2DyGe3Pd4 with its computed powder diffraction line list. Radiation: CuKα. Structure: the PBE geometry in Alexandria.
Peak positions follow from Bragg's law for the DFT cell and can differ from measured ones.

Crystal structure
Cell lengths 4.4174, 4.4174, 11.0626 Å; angles 90.00, 90.00, 90.00 degrees
Sites, in units of the cell vectors:
Sr (0.0000, 0.5000, 0.2288)
Sr (0.5000, 0.0000, 0.7712)
Dy (0.0000, 0.0000, 0.5000)
Ge (0.0000, 0.5000, 0.8840)
Ge (0.5000, 0.0000, 0.1160)
Ge (0.5000, 0.5000, 0.5000)
Pd (0.0000, 0.0000, 0.0000)
Pd (0.0000, 0.5000, 0.6563)
Pd (0.5000, 0.0000, 0.3437)
Pd (0.5000, 0.5000, 0.0000)

Main lines, low angle first (15° ≤ 2θ ≤ 90°):
2θ 16.02, d 5.531, intensity 14; 2θ 31.61, d 2.831, intensity 27; 2θ 32.93, d 2.720, intensity 100; 2θ 40.86, d 2.209, intensity 58; 2θ 43.72, d 2.071, intensity 34; 2θ 45.87, d 1.978, intensity 16; 2θ 52.55, d 1.741, intensity 13; 2θ 59.16, d 1.562, intensity 19; 2θ 69.39, d 1.354, intensity 23; 2θ 76.38, d 1.247, intensity 13